[1]
This entry pairs a crystal structure of CaTl2O4 with its computed powder diffraction line list. Radiation: Cu Kα, 1.54184 Å. Structure: a crystal structure in the Materials Project, relaxed with PBE.

Structure:
Cell: 3.3815 11.2172 10.6525 Å, 90.00 90.00 90.00°
Space group Cmcm (No. 63)
One atom of each set of equivalent atoms:
Ca 0.0000 0.1082 0.2500 x4
Tl 0.0000 0.3654 0.0721 x8
O 0.0000 0.0000 0.0000 x4
O 0.0000 0.2803 0.6174 x8
O 0.0000 0.4632 0.2500 x4

The 10 most intense peaks (2θ = 15–90°), sorted by position:
16.64°, 5.326 Å, rel. 49; 17.87°, 4.963 Å, rel. 33; 27.55°, 3.238 Å, rel. 40; 29.78°, 3.000 Å, rel. 100; 31.91°, 2.804 Å, rel. 35; 35.80°, 2.508 Å, rel. 40; 37.60°, 2.392 Å, rel. 36; 39.72°, 2.269 Å, rel. 35; 55.55°, 1.654 Å, rel. 47; 64.32°, 1.448 Å, rel. 27


[2]
This entry pairs a crystal structure of CaTmO3 with its computed powder diffraction line list. Radiation: Cu Kα, 1.54184 Å. Structure: a crystal structure in the Materials Project, relaxed with PBE.

Structure:
Cell: 4.2721 4.2721 4.2721 Å, 90.00 90.00 90.00°
Space group Pm-3m (No. 221)
One atom of each set of equivalent atoms:
Ca 0.0000 0.0000 0.0000 x1
Tm 0.5000 0.5000 0.5000 x1
O 0.0000 0.5000 0.5000 x3

The 10 most intense peaks (2θ = 15–90°), sorted by position:
20.79°, 4.272 Å, rel. 64; 29.57°, 3.021 Å, rel. 100; 42.31°, 2.136 Å, rel. 33; 47.60°, 1.911 Å, rel. 29; 52.47°, 1.744 Å, rel. 41; 61.38°, 1.510 Å, rel. 21; 65.55°, 1.424 Å, rel. 14; 69.59°, 1.351 Å, rel. 18; 77.38°, 1.233 Å, rel. 7; 84.94°, 1.142 Å, rel. 21


[3]
This entry pairs a crystal structure of CaU4O17 with its computed powder diffraction line list. Radiation: Cu Kα, 1.54184 Å. Structure: a crystal structure in the Materials Project, relaxed with PBE.

Structure:
Cell: 8.2810 8.8124 11.8519 Å, 101.30 94.54 107.87°
Space group P-1 (No. 2)
One atom of each set of equivalent atoms:
Ca 0.1386 0.0949 0.2632 x2
U 0.1417 0.6942 0.5723 x2
U 0.1917 0.1724 0.5926 x2
U 0.4390 0.6095 0.8298 x2
U 0.4492 0.0182 0.8415 x2
O 0.0063 0.7112 0.6899 x2
O 0.0164 0.9499 0.0249 x2
O 0.0622 0.1509 0.7140 x2
O 0.0725 0.9001 0.5271 x2
O 0.0844 0.4308 0.5576 x2
O 0.2342 0.0022 0.8738 x2
O 0.2390 0.5081 0.8798 x2
O 0.2678 0.5878 0.1357 x2
O 0.2845 0.1854 0.4543 x2
O 0.2893 0.7012 0.4659 x2
O 0.3259 0.9534 0.1864 x2
O 0.3305 0.3009 0.1900 x2
O 0.3624 0.7619 0.7285 x2
O 0.3695 0.0816 0.6871 x2
O 0.3779 0.4162 0.6918 x2
O 0.4168 0.6196 0.1136 x2
O 0.4672 0.8369 0.9541 x2

The 10 most intense peaks (2θ = 15–90°), sorted by position:
17.76°, 4.994 Å, rel. 97; 23.22°, 3.831 Å, rel. 41; 24.04°, 3.702 Å, rel. 93; 24.80°, 3.591 Å, rel. 100; 25.89°, 3.441 Å, rel. 41; 26.56°, 3.356 Å, rel. 68; 27.43°, 3.251 Å, rel. 80; 27.83°, 3.206 Å, rel. 76; 29.57°, 3.021 Å, rel. 66; 30.18°, 2.962 Å, rel. 46


[4]
This entry pairs a crystal structure of CaY2O4 with its computed powder diffraction line list. Radiation: Cu Kα, 1.54184 Å. Structure: a crystal structure in the Materials Project, relaxed with PBE.

Structure:
Cell: 9.9762 3.3834 11.8291 Å, 90.00 90.00 90.00°
Space group Pnma (No. 62)
One atom of each set of equivalent atoms:
Ca 0.2492 0.2500 0.1488 x4
Y 0.0772 0.2500 0.3861 x4
Y 0.0790 0.2500 0.8889 x4
O 0.0211 0.7500 0.7826 x4
O 0.0794 0.2500 0.5787 x4
O 0.1319 0.7500 0.0239 x4
O 0.2104 0.7500 0.3137 x4

The 10 most intense peaks (2θ = 15–90°), sorted by position:
17.78°, 4.988 Å, rel. 24; 30.22°, 2.957 Å, rel. 50; 30.85°, 2.899 Å, rel. 100; 31.76°, 2.817 Å, rel. 94; 31.96°, 2.800 Å, rel. 44; 44.56°, 2.033 Å, rel. 54; 45.16°, 2.008 Å, rel. 32; 54.66°, 1.679 Å, rel. 23; 55.29°, 1.662 Å, rel. 38; 63.69°, 1.461 Å, rel. 27


[5]
This entry pairs a crystal structure of CaY2O4 with its computed powder diffraction line list. Radiation: Cu Kα, 1.54184 Å. Structure: a crystal structure in the Materials Project, relaxed with PBE.

Structure:
Cell: 9.6859 9.6859 9.6859 Å, 90.00 90.00 90.00°
Space group Fd-3m (No. 227, origin choice 2)
One atom of each set of equivalent atoms:
Ca 0.1250 0.1250 0.1250 x8
Y 0.0000 0.0000 0.5000 x16
O 0.0127 0.0127 0.7373 x32

The 10 most intense peaks (2θ = 15–90°), sorted by position:
15.85°, 5.592 Å, rel. 57; 30.61°, 2.920 Å, rel. 100; 32.01°, 2.796 Å, rel. 28; 37.13°, 2.421 Å, rel. 43; 48.86°, 1.864 Å, rel. 41; 53.52°, 1.712 Å, rel. 53; 62.92°, 1.477 Å, rel. 12; 63.73°, 1.460 Å, rel. 15; 75.38°, 1.261 Å, rel. 19; 87.15°, 1.118 Å, rel. 11


[6]
This entry pairs a crystal structure of CaY2O4 with its computed powder diffraction line list. Radiation: Cu Kα, 1.54184 Å. Structure: a crystal structure in the Materials Project, relaxed with PBE.

Structure:
Cell: 3.3308 11.0813 10.9997 Å, 90.00 90.00 90.00°
Space group Cmcm (No. 63)
One atom of each set of equivalent atoms:
Ca 0.0000 0.1106 0.2500 x4
Y 0.0000 0.3674 0.0744 x8
O 0.0000 0.0000 0.0000 x4
O 0.0000 0.2670 0.6133 x8
O 0.0000 0.4671 0.2500 x4

The 10 most intense peaks (2θ = 15–90°), sorted by position:
16.12°, 5.500 Å, rel. 20; 27.97°, 3.190 Å, rel. 18; 29.20°, 3.059 Å, rel. 100; 32.31°, 2.770 Å, rel. 18; 36.32°, 2.474 Å, rel. 23; 37.26°, 2.413 Å, rel. 26; 39.96°, 2.256 Å, rel. 30; 50.39°, 1.811 Å, rel. 15; 55.75°, 1.649 Å, rel. 33; 63.62°, 1.463 Å, rel. 17